Starting from DFT lattice parameters and positions (PBE), the XRD peak list of Hf7Bi was simulated for Cu Ka.

Top 10 peaks for 2θ = 10–90°, most intense first:
Position (°2θ), I (rel.)
34.57, 100.0
40.92, 32.3
70.45, 26.1
57.45, 23.9
38.52, 18.1
67.15, 14.0
72.93, 11.4
59.26, 10.9
88.72, 3.8
82.54, 1.8

Cell and atoms:
```
8
Lattice="-2.2053 2.2053 9.3496 2.2053 -2.2053 9.3496 2.2053 2.2053 -9.3496" Properties=species:S:1:pos:R:3 pbc="T T T"
Hf 0.0000 0.0000 0.0000
Hf 2.2053 0.0000 2.4413
Hf 0.0000 0.0000 4.7047
Hf 2.2053 0.0000 6.9083
Hf 0.0000 2.2053 2.4413
Hf 0.0000 0.0000 13.9945
Hf 0.0000 2.2053 6.9083
Bi 0.0000 0.0000 9.3496
```